Zn2Co3O8: simulated X-ray diffraction stick pattern (Cu Kα), based on the PBE+U geometry in the Materials Project.

Top 10 peaks for 10 to 90 degrees two-theta, low angle first:
2θ = 18.96°, intensity 60; 2θ = 26.12°, intensity 60; 2θ = 33.88°, intensity 44; 2θ = 34.02°, intensity 45; 2θ = 36.03°, intensity 26; 2θ = 36.43°, intensity 56; 2θ = 36.77°, intensity 100; 2θ = 37.01°, intensity 43; 2θ = 61.97°, intensity 34; 2θ = 63.66°, intensity 28

Cell and atoms:
Unit cell a=5.7412 b=5.7616 c=9.3633 alpha=90.66 beta=90.02 gamma=118.90
Fractional positions:
Zn1 0.0000 0.0000 0.0000
Zn2 0.0010 0.0034 0.6036
Zn3 0.6622 0.3329 0.1054
Zn4 0.6651 0.3418 0.4970
Co1 0.9997 0.5046 0.8204
Co2 0.1632 0.3375 0.3204
Co3 0.1649 0.8300 0.3193
Co4 0.4931 0.5090 0.8167
Co5 0.4963 0.9984 0.8199
Co6 0.6537 0.8298 0.3207
O1 0.0105 0.0079 0.2099
O2 0.0180 0.5110 0.2203
O3 0.1605 0.8184 0.7270
O4 0.1740 0.3541 0.7199
O5 0.2913 0.1465 0.4366
O6 0.3056 0.6540 0.4304
O7 0.3157 0.6364 0.9288
O8 0.3695 0.1630 0.9429
O9 0.4830 0.9773 0.2215
O10 0.4838 0.5031 0.2276
O11 0.6489 0.8490 0.7134
O12 0.6722 0.3585 0.7086
O13 0.8043 0.6285 0.9379
O14 0.8223 0.1956 0.9338
O15 0.8510 0.1532 0.4322
O16 0.8541 0.7095 0.4345